(1)
The following is a simulated X-ray diffraction stick pattern of VO2. It was derived from DFT lattice parameters and positions (PBE+U), using λ = 1.5418 Å (Cu Kα).

Most intense lines, 2θ from 15° to 90°, by angle:
2theta	I (rel.)	hkl
20.94	100.0	0 1 -1
21.17	90.3	1 0 -1
28.90	45.1	1 -1 2
29.39	53.8	-1 1 2
38.14	62.0	1 1 2
46.42	46.0	1 -2 3

Unit cell a=4.9951 b=5.0193 c=9.1506 alpha=92.22 beta=90.63 gamma=111.12
Space group P1 (No. 1)
One atom of each set of equivalent atoms:
V (0.0000, 0.0000, 0.0000) x1
V (0.0721, 0.4408, 0.2613) x1
V (0.4231, 0.0649, 0.2391) x1
V (0.4989, 0.4986, 0.4999) x1
V (0.5758, 0.9326, 0.7605) x1
V (0.9268, 0.5570, 0.7390) x1
O (0.1008, 0.7722, 0.1364) x1
O (0.2008, 0.1949, 0.3837) x1
O (0.2551, 0.9096, 0.8551) x1
O (0.2559, 0.5786, 0.6416) x1
O (0.2882, 0.3129, 0.1169) x1
O (0.3847, 0.7335, 0.3594) x1
O (0.6155, 0.2646, 0.6397) x1
O (0.7121, 0.6861, 0.8829) x1
O (0.7432, 0.4191, 0.3582) x1
O (0.7449, 0.0892, 0.1444) x1
O (0.7978, 0.8009, 0.6158) x1
O (0.8983, 0.2260, 0.8632) x1

---

(2)
The following is a simulated X-ray diffraction stick pattern of VO2. It was derived from DFT lattice parameters and positions (PBE+U), using λ = 1.5418 Å (Cu Kα).

Most intense lines, 2θ from 15° to 90°, by angle:
2theta	I (rel.)	hkl
27.45	100.0	0 4 0
37.16	47.8	2 2 2
42.21	17.0	2 4 0
55.12	56.1	2 6 2
56.66	18.6	0 8 0
69.72	20.0	2 6 6

Unit cell a=5.6930 b=12.9941 c=12.9982 alpha=90.00 beta=90.00 gamma=90.00
Space group Fmmm (No. 69)
One atom of each set of equivalent atoms:
V (0.0000, 0.0000, 0.2457) x8
V (0.0000, 0.2479, 0.0000) x8
V (0.2411, 0.0000, 0.5000) x8
V (0.2500, 0.2500, 0.2500) x8
O (0.0000, 0.0000, 0.0984) x8
O (0.0000, 0.0000, 0.3979) x8
O (0.0000, 0.2495, 0.1498) x16
O (0.2487, 0.1498, 0.5000) x16
O (0.2500, 0.1001, 0.2500) x16

---

(3)
The following is a simulated X-ray diffraction stick pattern of VO2. It was derived from DFT lattice parameters and positions (PBE+U), using λ = 1.5418 Å (Cu Kα).

Most intense lines, 2θ from 15° to 90°, by angle:
2theta	I (rel.)	hkl
19.91	87.9	1 0 2
20.31	100.0	2 0 0
35.32	35.2	3 0 2
35.58	70.1	1 1 2
50.66	32.7	2 1 4
51.36	29.4	4 1 0

Unit cell a=8.7459 b=3.0606 c=10.3656 alpha=90.00 beta=90.00 gamma=90.00
Space group Pnma (No. 62)
One atom of each set of equivalent atoms:
V (0.0696, 0.2500, 0.1087) x4
V (0.0709, 0.2500, 0.6077) x4
O (0.0178, 0.7500, 0.2207) x4
O (0.0753, 0.2500, 0.4294) x4
O (0.1111, 0.7500, 0.9839) x4
O (0.2109, 0.7500, 0.6388) x4

---

(4)
The following is a simulated X-ray diffraction stick pattern of VO. It was derived from DFT lattice parameters and positions (PBE+U), using λ = 1.5418 Å (Cu Kα).

Most intense lines, 2θ from 15° to 90°, by angle:
2theta	I (rel.)	hkl
34.87	41.2	0 1 0
35.03	20.3	1 0 -1
40.92	100.0	1 0 1
41.04	49.3	-1 1 1
58.28	30.1	0 1 2
60.17	26.8	1 -1 3

Unit cell a=3.0664 b=3.0790 c=5.4260 alpha=105.57 beta=91.63 gamma=118.01
Space group P-1 (No. 2)
One atom of each set of equivalent atoms:
V (0.2439, 0.0055, 0.2504) x2
O (0.0000, 0.5000, 0.5000) x1
O (0.5000, 0.5000, 0.0000) x1

---

Repeat the third record exactly.
The following is a simulated X-ray diffraction stick pattern of VO2. It was derived from DFT lattice parameters and positions (PBE+U), using λ = 1.5418 Å (Cu Kα).

Most intense lines, 2θ from 15° to 90°, by angle:
2theta	I (rel.)	hkl
19.91	87.9	1 0 2
20.31	100.0	2 0 0
35.32	35.2	3 0 2
35.58	70.1	1 1 2
50.66	32.7	2 1 4
51.36	29.4	4 1 0

Unit cell a=8.7459 b=3.0606 c=10.3656 alpha=90.00 beta=90.00 gamma=90.00
Space group Pnma (No. 62)
One atom of each set of equivalent atoms:
V (0.0696, 0.2500, 0.1087) x4
V (0.0709, 0.2500, 0.6077) x4
O (0.0178, 0.7500, 0.2207) x4
O (0.0753, 0.2500, 0.4294) x4
O (0.1111, 0.7500, 0.9839) x4
O (0.2109, 0.7500, 0.6388) x4

---

Copy entry 2 word for word.
The following is a simulated X-ray diffraction stick pattern of VO2. It was derived from DFT lattice parameters and positions (PBE+U), using λ = 1.5418 Å (Cu Kα).

Most intense lines, 2θ from 15° to 90°, by angle:
2theta	I (rel.)	hkl
27.45	100.0	0 4 0
37.16	47.8	2 2 2
42.21	17.0	2 4 0
55.12	56.1	2 6 2
56.66	18.6	0 8 0
69.72	20.0	2 6 6

Unit cell a=5.6930 b=12.9941 c=12.9982 alpha=90.00 beta=90.00 gamma=90.00
Space group Fmmm (No. 69)
One atom of each set of equivalent atoms:
V (0.0000, 0.0000, 0.2457) x8
V (0.0000, 0.2479, 0.0000) x8
V (0.2411, 0.0000, 0.5000) x8
V (0.2500, 0.2500, 0.2500) x8
O (0.0000, 0.0000, 0.0984) x8
O (0.0000, 0.0000, 0.3979) x8
O (0.0000, 0.2495, 0.1498) x16
O (0.2487, 0.1498, 0.5000) x16
O (0.2500, 0.1001, 0.2500) x16

---

Which formula does entry 2 have? VO2